[1]
Simulated X-ray powder pattern of ZrCuSN for Cu Kα, from DFT lattice parameters and positions (PBE).

Structure:
```
data_ZrCuSN
_chemical_formula_sum 'Zr6 Cu6 S6 N6'
_space_group_name_H-M_alt 'R -3 m'
_space_group_IT_number 166
_space_group_name_Hall '-R 3 2"'
_cell_length_a 3.6930
_cell_length_b 3.6930
_cell_length_c 29.5107
_cell_angle_alpha 90.00
_cell_angle_beta 90.00
_cell_angle_gamma 120.00
loop_
_atom_site_label
_atom_site_fract_x
_atom_site_fract_y
_atom_site_fract_z
_atom_site_occupancy
Zr1 0.0000 0.0000 0.1226 1
Cu1 0.0000 0.0000 0.3082 1
S1 0.0000 0.0000 0.3909 1
N1 0.0000 0.0000 0.1962 1
```

Most intense lines, 2θ from 15° to 90°, by angle:
2θ 28.6, intensity 26; 2θ 30.5, intensity 100; 2θ 31.8, intensity 58; 2θ 35.2, intensity 37; 2θ 36.5, intensity 28; 2θ 41.6, intensity 42; 2θ 44.1, intensity 34; 2θ 49.4, intensity 82; 2θ 57.7, intensity 31; 2θ 62.9, intensity 31

[2]
Simulated X-ray powder pattern of SrSmCuN2 for Cu Kα, from DFT lattice parameters and positions (PBE).

Structure:
```
data_SrSmCuN2
_chemical_formula_sum 'Sr2 Sm2 Cu2 N4'
_space_group_name_H-M_alt 'P c c m'
_space_group_IT_number 49
_space_group_name_Hall '-P 2 2c'
_cell_length_a 5.2909
_cell_length_b 5.5132
_cell_length_c 6.7533
_cell_angle_alpha 90.00
_cell_angle_beta 90.00
_cell_angle_gamma 90.00
loop_
_atom_site_label
_atom_site_fract_x
_atom_site_fract_y
_atom_site_fract_z
_atom_site_occupancy
Sr1 0.0000 0.0000 0.2500 1
Sm1 0.5000 0.5000 0.2500 1
Cu1 0.0000 0.5000 0.0000 1
N1 0.2678 0.2806 0.0000 1
```

Most intense lines, 2θ from 15° to 90°, by angle:
2θ 16.1, intensity 35; 2θ 23.3, intensity 45; 2θ 32.5, intensity 27; 2θ 33.9, intensity 24; 2θ 35.5, intensity 100; 2θ 42.3, intensity 12; 2θ 47.6, intensity 25; 2θ 59.9, intensity 28; 2θ 61.7, intensity 20; 2θ 75.1, intensity 12

[3]
Simulated X-ray powder pattern of CuSnN for Cu Kα, from DFT lattice parameters and positions (PBE).

Structure:
```
data_CuSnN
_chemical_formula_sum 'Cu2 Sn2 N2'
_space_group_name_H-M_alt 'P 1 21 1'
_space_group_IT_number 4
_space_group_name_Hall 'P 2yb'
_cell_length_a 3.3710
_cell_length_b 4.2909
_cell_length_c 6.2237
_cell_angle_alpha 90.00
_cell_angle_beta 90.07
_cell_angle_gamma 90.00
loop_
_atom_site_label
_atom_site_fract_x
_atom_site_fract_y
_atom_site_fract_z
_atom_site_occupancy
Cu1 0.2399 0.0000 0.1012 1
Sn1 0.2505 0.9688 0.6876 1
N1 0.2498 0.7638 0.3750 1
```

Most intense lines, 2θ from 15° to 90°, by angle:
2θ 25.2, intensity 26; 2θ 30.2, intensity 13; 2θ 33.8, intensity 100; 2θ 35.6, intensity 52; 2θ 39.4, intensity 34; 2θ 42.1, intensity 23; 2θ 51.7, intensity 15; 2θ 54.4, intensity 14; 2θ 59.0, intensity 27; 2θ 66.8, intensity 16

[4]
Simulated X-ray powder pattern of ThCuSnN for Cu Kα, from DFT lattice parameters and positions (PBE).

Structure:
```
data_ThCuSnN
_chemical_formula_sum 'Th2 Cu2 Sn2 N2'
_space_group_name_H-M_alt 'I 4 m m'
_space_group_IT_number 107
_space_group_name_Hall 'I 4 -2'
_cell_length_a 3.3626
_cell_length_b 3.3626
_cell_length_c 13.6032
_cell_angle_alpha 90.00
_cell_angle_beta 90.00
_cell_angle_gamma 90.00
loop_
_atom_site_label
_atom_site_fract_x
_atom_site_fract_y
_atom_site_fract_z
_atom_site_occupancy
Th1 0.0000 0.0000 0.0000 1
Cu1 0.0000 0.0000 0.6848 1
Sn1 0.0000 0.0000 0.2901 1
N1 0.0000 0.0000 0.5406 1
```

Most intense lines, 2θ from 15° to 90°, by angle:
2θ 26.2, intensity 29; 2θ 27.3, intensity 30; 2θ 33.2, intensity 100; 2θ 37.8, intensity 47; 2θ 46.6, intensity 25; 2θ 54.6, intensity 41; 2θ 56.0, intensity 13; 2θ 61.5, intensity 11; 2θ 65.4, intensity 29; 2θ 80.8, intensity 22

[5]
Simulated X-ray powder pattern of Sr6Cu3N5 for Cu Kα, from DFT lattice parameters and positions (PBE).

Structure:
```
data_Sr6Cu3N5
_chemical_formula_sum 'Sr12 Cu6 N10'
_space_group_name_H-M_alt 'P 42 m c'
_space_group_IT_number 105
_space_group_name_Hall 'P 4c -2'
_cell_length_a 8.6918
_cell_length_b 8.6918
_cell_length_c 7.3671
_cell_angle_alpha 90.00
_cell_angle_beta 90.00
_cell_angle_gamma 90.00
loop_
_atom_site_label
_atom_site_fract_x
_atom_site_fract_y
_atom_site_fract_z
_atom_site_occupancy
Sr1 0.0000 0.0000 0.0000 1
Sr2 0.0000 0.5000 0.0197 1
Sr3 0.2667 0.3028 0.7083 1
Cu1 0.0000 0.3592 0.4301 1
Cu2 0.5000 0.5000 0.4696 1
N1 0.0000 0.2196 0.2363 1
N2 0.0000 0.5000 0.6282 1
N3 0.2873 0.5000 0.9811 1
```

Most intense lines, 2θ from 15° to 90°, by angle:
2θ 23.8, intensity 12; 2θ 29.1, intensity 39; 2θ 30.9, intensity 21; 2θ 31.8, intensity 100; 2θ 38.1, intensity 11; 2θ 39.3, intensity 11; 2θ 41.6, intensity 19; 2θ 44.9, intensity 18; 2θ 53.3, intensity 20; 2θ 54.2, intensity 8

[6]
Simulated X-ray powder pattern of Ta3Cu2N for Cu Kα, from DFT lattice parameters and positions (PBE).

Structure:
```
data_Ta3Cu2N
_chemical_formula_sum 'Ta12 Cu8 N4'
_space_group_name_H-M_alt 'P 41 3 2'
_space_group_IT_number 213
_space_group_name_Hall 'P 4bd 2ab 3'
_cell_length_a 6.9145
_cell_length_b 6.9145
_cell_length_c 6.9145
_cell_angle_alpha 90.00
_cell_angle_beta 90.00
_cell_angle_gamma 90.00
loop_
_atom_site_label
_atom_site_fract_x
_atom_site_fract_y
_atom_site_fract_z
_atom_site_occupancy
Ta1 0.0433 0.1250 0.7933 1
Cu1 0.0708 0.9292 0.4292 1
N1 0.1250 0.3750 0.6250 1
```

Most intense lines, 2θ from 15° to 90°, by angle:
2θ 28.9, intensity 16; 2θ 39.1, intensity 100; 2θ 41.3, intensity 59; 2θ 43.4, intensity 20; 2θ 56.5, intensity 11; 2θ 59.8, intensity 12; 2θ 69.3, intensity 21; 2θ 73.8, intensity 21; 2θ 82.5, intensity 10; 2θ 86.8, intensity 10

[7]
Simulated X-ray powder pattern of CuTeN for Cu Kα, from DFT lattice parameters and positions (PBE).

Structure:
```
data_CuTeN
_chemical_formula_sum 'Cu2 Te2 N2'
_space_group_name_H-M_alt 'P 1 21 1'
_space_group_IT_number 4
_space_group_name_Hall 'P 2yb'
_cell_length_a 4.8367
_cell_length_b 4.4941
_cell_length_c 4.9467
_cell_angle_alpha 90.00
_cell_angle_beta 104.66
_cell_angle_gamma 90.00
loop_
_atom_site_label
_atom_site_fract_x
_atom_site_fract_y
_atom_site_fract_z
_atom_site_occupancy
Cu1 0.1367 0.0000 0.4805 1
Te1 0.3025 0.6140 0.1206 1
N1 0.0097 0.8177 0.7839 1
```

Most intense lines, 2θ from 15° to 90°, by angle:
2θ 27.2, intensity 29; 2θ 27.5, intensity 36; 2θ 29.9, intensity 49; 2θ 30.5, intensity 100; 2θ 36.1, intensity 24; 2θ 37.6, intensity 23; 2θ 40.1, intensity 17; 2θ 42.8, intensity 30; 2θ 43.6, intensity 26; 2θ 65.3, intensity 16